(1)
Simulated PXRD pattern
Compound: GdTl9Te6
Radiation: Cu Kα X-rays
Structure: the PBE geometry in Alexandria
Kinematic intensities with the Lorentz-polarization factor, no thermal factor.

Top 6 peaks for 2θ from 5° to 70°, sorted by position:
2θ 29.85, intensity 100, hkl 1 2 3; 2θ 30.01, intensity 14, hkl 1 1 4; 2θ 31.55, intensity 53, hkl 3 1 0; 2θ 46.38, intensity 11, hkl 4 1 3; 2θ 51.90, intensity 14, hkl 3 1 6; 2θ 59.18, intensity 21, hkl 2 5 3

Structural model:
```
data_GdTl9Te6
_chemical_formula_sum 'Gd2 Tl18 Te12'
_cell_length_a 8.966
_cell_length_b 8.966
_cell_length_c 13.491
_cell_angle_alpha 90.00
_cell_angle_beta 90.00
_cell_angle_gamma 90.00
_symmetry_space_group_name_H-M 'I 4/m'
_symmetry_Int_Tables_number 87
_symmetry_space_group_name_Hall '-I 4'
loop_
_atom_site_label
_atom_site_type_symbol
_atom_site_fract_x
_atom_site_fract_y
_atom_site_fract_z
_atom_site_occupancy
Gd1 Gd 0.000 0.000 0.000 1
Tl1 Tl 0.000 0.000 0.500 1
Tl2 Tl 0.145 0.650 0.342 1
Te1 Te 0.000 0.000 0.233 1
Te2 Te 0.149 0.676 0.000 1
```

---

(2)
Simulated PXRD pattern
Compound: GdTmZr
Radiation: Cu Kα X-rays
Structure: the PBE geometry in Alexandria
Kinematic intensities with the Lorentz-polarization factor, no thermal factor.

Top 6 peaks for 2θ from 5° to 70°, sorted by position:
2θ 32.12, intensity 100, hkl 1 0 3; 2θ 36.61, intensity 16, hkl 0 0 6; 2θ 37.58, intensity 34, hkl 1 1 0; 2θ 53.47, intensity 21, hkl 1 1 6; 2θ 54.20, intensity 12, hkl 2 0 0; 2θ 64.41, intensity 27, hkl 2 1 3

Structural model:
```
data_GdTmZr
_chemical_formula_sum 'Gd2 Tm2 Zr2'
_cell_length_a 3.385
_cell_length_b 3.385
_cell_length_c 14.727
_cell_angle_alpha 90.00
_cell_angle_beta 90.00
_cell_angle_gamma 90.00
_symmetry_space_group_name_H-M 'I 4 m m'
_symmetry_Int_Tables_number 107
_symmetry_space_group_name_Hall 'I 4 -2'
loop_
_atom_site_label
_atom_site_type_symbol
_atom_site_fract_x
_atom_site_fract_y
_atom_site_fract_z
_atom_site_occupancy
Gd1 Gd 0.000 0.000 0.000 1
Tm1 Tm 0.000 0.000 0.312 1
Zr1 Zr 0.000 0.000 0.660 1
```

---

(3)
Simulated PXRD pattern
Compound: GdVZn4
Radiation: Cu Kα X-rays
Structure: the PBE geometry in Alexandria
Kinematic intensities with the Lorentz-polarization factor, no thermal factor.

Top 6 peaks for 2θ from 5° to 70°, sorted by position:
2θ 23.96, intensity 13, hkl 2 0 0; 2θ 34.14, intensity 38, hkl 2 2 0; 2θ 40.27, intensity 100, hkl 3 1 1; 2θ 42.14, intensity 31, hkl 2 2 2; 2θ 61.12, intensity 14, hkl 4 2 2; 2θ 65.27, intensity 31, hkl 5 1 1

Structural model:
```
data_GdVZn4
_chemical_formula_sum 'Gd4 V4 Zn16'
_cell_length_a 7.428
_cell_length_b 7.428
_cell_length_c 7.428
_cell_angle_alpha 90.00
_cell_angle_beta 90.00
_cell_angle_gamma 90.00
_symmetry_space_group_name_H-M 'F -4 3 m'
_symmetry_Int_Tables_number 216
_symmetry_space_group_name_Hall 'F -4 2 3'
loop_
_atom_site_label
_atom_site_type_symbol
_atom_site_fract_x
_atom_site_fract_y
_atom_site_fract_z
_atom_site_occupancy
Gd1 Gd 0.000 0.000 0.000 1
V1 V 0.250 0.250 0.750 1
Zn1 Zn 0.124 0.124 0.376 1
```

---

(4)
Simulated PXRD pattern
Compound: Gd5Y
Radiation: Cu Kα X-rays
Structure: the PBE geometry in Alexandria
Kinematic intensities with the Lorentz-polarization factor, no thermal factor.

Top 6 peaks for 2θ from 5° to 70°, sorted by position:
2θ 28.02, intensity 74, hkl 0 6 0; 2θ 29.83, intensity 100, hkl 1 1 1; 2θ 30.12, intensity 65, hkl 2 0 0; 2θ 32.70, intensity 38, hkl 1 3 1; 2θ 37.87, intensity 84, hkl 1 5 1; 2θ 41.61, intensity 51, hkl 2 6 0

Structural model:
```
data_Gd5Y
_chemical_formula_sum 'Gd10 Y2'
_cell_length_a 5.934
_cell_length_b 19.106
_cell_length_c 3.529
_cell_angle_alpha 90.00
_cell_angle_beta 90.00
_cell_angle_gamma 90.00
_symmetry_space_group_name_H-M 'C m m m'
_symmetry_Int_Tables_number 65
_symmetry_space_group_name_Hall '-C 2 2'
loop_
_atom_site_label
_atom_site_type_symbol
_atom_site_fract_x
_atom_site_fract_y
_atom_site_fract_z
_atom_site_occupancy
Gd1 Gd 0.000 0.000 0.000 1
Gd2 Gd 0.000 0.175 0.000 1
Gd3 Gd 0.000 0.327 0.500 1
Y1 Y 0.000 0.500 0.500 1
```

---

(5)
Simulated PXRD pattern
Compound: YbGd6
Radiation: Cu Kα X-rays
Structure: the PBE geometry in Alexandria
Kinematic intensities with the Lorentz-polarization factor, no thermal factor.

Top 6 peaks for 2θ from 5° to 70°, sorted by position:
2θ 21.74, intensity 41, hkl 2 0 0; 2θ 26.71, intensity 100, hkl 2 1 1; 2θ 38.14, intensity 33, hkl 2 2 2; 2θ 41.32, intensity 63, hkl 3 2 1; 2θ 44.32, intensity 34, hkl 4 0 0; 2θ 64.48, intensity 22, hkl 4 4 0

Structural model:
```
data_YbGd6
_chemical_formula_sum 'Yb2 Gd12'
_cell_length_a 8.175
_cell_length_b 8.175
_cell_length_c 8.175
_cell_angle_alpha 90.00
_cell_angle_beta 90.00
_cell_angle_gamma 90.00
_symmetry_space_group_name_H-M 'I m -3 m'
_symmetry_Int_Tables_number 229
_symmetry_space_group_name_Hall '-I 4 2 3'
loop_
_atom_site_label
_atom_site_type_symbol
_atom_site_fract_x
_atom_site_fract_y
_atom_site_fract_z
_atom_site_occupancy
Yb1 Yb 0.000 0.000 0.000 1
Gd1 Gd 0.000 0.250 0.500 1
```

---

(6)
Simulated PXRD pattern
Compound: GdZn2
Radiation: Cu Kα X-rays
Structure: the PBE geometry in Alexandria
Kinematic intensities with the Lorentz-polarization factor, no thermal factor.

Top 6 peaks for 2θ from 5° to 70°, sorted by position:
2θ 33.15, intensity 21, hkl 1 1 2; 2θ 34.01, intensity 100, hkl 1 2 1; 2θ 34.30, intensity 44, hkl 0 2 2; 2θ 39.90, intensity 31, hkl 2 0 0; 2θ 40.66, intensity 50, hkl 1 0 3; 2θ 53.61, intensity 28, hkl 2 2 2

Structural model:
```
data_GdZn2
_chemical_formula_sum 'Gd4 Zn8'
_cell_length_a 4.519
_cell_length_b 7.170
_cell_length_c 7.641
_cell_angle_alpha 90.00
_cell_angle_beta 90.00
_cell_angle_gamma 90.00
_symmetry_space_group_name_H-M 'I m m a'
_symmetry_Int_Tables_number 74
_symmetry_space_group_name_Hall '-I 2b 2'
loop_
_atom_site_label
_atom_site_type_symbol
_atom_site_fract_x
_atom_site_fract_y
_atom_site_fract_z
_atom_site_occupancy
Gd1 Gd 0.000 0.250 0.031 1
Zn1 Zn 0.000 0.045 0.666 1
```

---

(7)
Simulated PXRD pattern
Compound: GdZn2
Radiation: Cu Kα X-rays
Structure: the PBE geometry in Alexandria
Kinematic intensities with the Lorentz-polarization factor, no thermal factor.

Top 6 peaks for 2θ from 5° to 70°, sorted by position:
2θ 32.57, intensity 57, hkl 2 2 0; 2θ 38.39, intensity 100, hkl 3 1 1; 2θ 40.17, intensity 18, hkl 2 2 2; 2θ 58.11, intensity 22, hkl 4 2 2; 2θ 62.01, intensity 32, hkl 5 1 1; 2θ 68.23, intensity 24, hkl 4 4 0

Structural model:
Cell lengths 7.776, 7.776, 7.776 Å; angles 90.00, 90.00, 90.00 degrees
Space group Fd-3m (No. 227, origin choice 2)
Symmetry-distinct sites (fractional):
Gd  0.125  0.125  0.125 [8 per cell]
Zn  0.000  0.000  0.500 [16 per cell]

---

(8)
Simulated PXRD pattern
Compound: Gd3Zr
Radiation: Cu Kα X-rays
Structure: the PBE geometry in Alexandria
Kinematic intensities with the Lorentz-polarization factor, no thermal factor.

Top 6 peaks for 2θ from 5° to 70°, sorted by position:
2θ 29.44, intensity 27, hkl 1 0 1; 2θ 32.18, intensity 39, hkl 0 2 0; 2θ 33.38, intensity 55, hkl 0 1 2; 2θ 33.64, intensity 100, hkl 1 1 1; 2θ 58.31, intensity 21, hkl 1 3 1; 2θ 62.34, intensity 22, hkl 1 2 3

Structural model:
```
data_Gd3Zr
_chemical_formula_sum 'Gd3 Zr1'
_cell_length_a 3.492
_cell_length_b 5.564
_cell_length_c 6.129
_cell_angle_alpha 90.00
_cell_angle_beta 90.00
_cell_angle_gamma 90.00
_symmetry_space_group_name_H-M 'P m m 2'
_symmetry_Int_Tables_number 25
_symmetry_space_group_name_Hall 'P 2 -2'
loop_
_atom_site_label
_atom_site_type_symbol
_atom_site_fract_x
_atom_site_fract_y
_atom_site_fract_z
_atom_site_occupancy
Gd1 Gd 0.000 0.000 0.000 1
Gd2 Gd 0.000 0.500 0.338 1
Gd3 Gd 0.500 0.500 0.814 1
Zr1 Zr 0.500 0.000 0.501 1
```

---

(9)
Simulated PXRD pattern
Compound: GeH4
Radiation: Cu Kα X-rays
Structure: the PBE geometry in Alexandria
Kinematic intensities with the Lorentz-polarization factor, no thermal factor.

Top 6 peaks for 2θ from 5° to 70°, sorted by position:
2θ 22.72, intensity 29, hkl 1 0 1; 2θ 23.09, intensity 86, hkl 1 1 0; 2θ 23.89, intensity 63, hkl 0 2 0; 2θ 25.43, intensity 100, hkl 0 1 2; 2θ 30.02, intensity 46, hkl 1 0 2; 2θ 38.72, intensity 41, hkl 1 2 2

Structural model:
```
data_GeH4
_chemical_formula_sum 'Ge4 H16'
_cell_length_a 4.500
_cell_length_b 7.450
_cell_length_c 7.938
_cell_angle_alpha 90.00
_cell_angle_beta 90.00
_cell_angle_gamma 90.00
_symmetry_space_group_name_H-M 'P 21 21 21'
_symmetry_Int_Tables_number 19
_symmetry_space_group_name_Hall 'P 2ac 2ab'
loop_
_atom_site_label
_atom_site_type_symbol
_atom_site_fract_x
_atom_site_fract_y
_atom_site_fract_z
_atom_site_occupancy
Ge1 Ge 0.149 0.006 0.358 1
H1 H 0.042 0.531 0.300 1
H2 H 0.056 0.460 0.994 1
H3 H 0.128 0.146 0.830 1
H4 H 0.185 0.819 0.896 1
```

---

(10)
Simulated PXRD pattern
Compound: GeH3
Radiation: Cu Kα X-rays
Structure: the PBE geometry in Alexandria
Kinematic intensities with the Lorentz-polarization factor, no thermal factor.

Top 6 peaks for 2θ from 5° to 70°, sorted by position:
2θ 28.00, intensity 100, hkl 0 1 1; 2θ 33.06, intensity 92, hkl 0 2 0; 2θ 36.64, intensity 50, hkl 1 0 1; 2θ 50.20, intensity 38, hkl 1 2 1; 2θ 57.84, intensity 39, hkl 1 1 2; 2θ 66.51, intensity 16, hkl 2 1 1

Structural model:
```
data_GeH3
_chemical_formula_sum 'Ge2 H6'
_cell_length_a 3.133
_cell_length_b 5.412
_cell_length_c 3.942
_cell_angle_alpha 90.00
_cell_angle_beta 90.00
_cell_angle_gamma 90.00
_symmetry_space_group_name_H-M 'I m m 2'
_symmetry_Int_Tables_number 44
_symmetry_space_group_name_Hall 'I 2 -2'
loop_
_atom_site_label
_atom_site_type_symbol
_atom_site_fract_x
_atom_site_fract_y
_atom_site_fract_z
_atom_site_occupancy
Ge1 Ge 0.000 0.000 0.000 1
H1 H 0.000 0.288 0.173 1
H2 H 0.000 0.500 0.711 1
```

---

(11)
Simulated PXRD pattern
Compound: GeH5I4
Radiation: Cu Kα X-rays
Structure: the PBE geometry in Alexandria
Kinematic intensities with the Lorentz-polarization factor, no thermal factor.

Top 6 peaks for 2θ from 5° to 70°, sorted by position:
2θ 21.20, intensity 47, hkl 0 0 2; 2θ 26.83, intensity 100, hkl 2 1 1; 2θ 35.06, intensity 24, hkl 1 3 0; 2θ 40.80, intensity 32, hkl 2 1 3; 2θ 41.33, intensity 31, hkl 1 3 2; 2θ 58.03, intensity 20, hkl 3 4 1

Structural model:
```
data_GeH5I4
_chemical_formula_sum 'Ge2 H10 I8'
_cell_length_a 8.094
_cell_length_b 8.094
_cell_length_c 8.381
_cell_angle_alpha 90.00
_cell_angle_beta 90.00
_cell_angle_gamma 90.00
_symmetry_space_group_name_H-M 'I 4'
_symmetry_Int_Tables_number 79
_symmetry_space_group_name_Hall 'I 4'
loop_
_atom_site_label
_atom_site_type_symbol
_atom_site_fract_x
_atom_site_fract_y
_atom_site_fract_z
_atom_site_occupancy
Ge1 Ge 0.000 0.000 0.000 1
H1 H 0.000 0.000 0.814 1
H2 H 0.117 0.813 0.047 1
I1 I 0.112 0.281 0.522 1
```